This entry pairs a crystal structure of FeCu3Pt4 with its theoretical powder XRD pattern. Radiation: λ = 1.5418 Å (Cu Kα). Structure: a crystal structure in Alexandria, relaxed with PBE.
Neutral-atom scattering factors, no anomalous dispersion.

Most intense lines, 2θ = 10–90°, in order of falling intensity:
2theta	Rel. int.
43.1	100
41.1	37
28.3	36
39.1	19
41.3	19
76.3	18
31.8	17
39.9	13
85.4	11
45.1	11

a b c (Å): 8.7846 5.6314 4.5172
angles (deg): 90.00 90.00 90.00
Space group Pmma (No. 51)
Inequivalent atoms, fractional coordinates:
Fe 0.0000 0.0000 0.0000 (multiplicity 2)
Cu 0.0000 0.5000 0.0000 (multiplicity 2)
Cu 0.2500 0.0000 0.3816 (multiplicity 2)
Cu 0.2500 0.5000 0.3804 (multiplicity 2)
Pt 0.0000 0.2495 0.5000 (multiplicity 4)
Pt 0.2500 0.2512 0.8865 (multiplicity 4)